# 1
ScMn3N3: simulated powder XRD pattern (a wavelength of 1.5418 Å), based on a PBE-relaxed structure.
No peak broadening, texture or thermal motion is included.

Largest 8 diffraction maxima, low angle first, 2θ = 15–90°:
d (Å)	2θ/deg	I_rel
3.218	27.72	39
3.187	28.00	83
2.452	36.65	50
2.438	36.87	100
1.893	48.07	43
1.866	48.79	19
1.852	49.19	75
1.324	71.24	20

Atomic structure:
```
ScMn3N3
1.0
7.336 0.000 0.000
0.000 3.785 0.000
-3.659 0.000 6.436
Sc Mn N
2 6 6
Cartesian
-0.002 0.946 2.180
3.678 2.839 4.256
-1.466 0.946 5.585
2.190 2.839 0.850
0.009 2.839 4.746
3.667 0.946 1.690
1.486 0.946 5.585
5.143 2.839 0.851
-1.884 2.839 5.343
1.772 0.946 1.091
0.011 0.946 4.262
3.666 2.839 2.174
1.904 2.839 5.344
5.560 0.946 1.092
```

# 2
Mn4Se3N2: simulated powder XRD pattern (a wavelength of 1.5418 Å), based on a PBE-relaxed structure.
No peak broadening, texture or thermal motion is included.

Largest 8 diffraction maxima, low angle first, 2θ = 15–90°:
d (Å)	2θ/deg	I_rel
3.226	27.65	45
2.932	30.49	39
2.677	33.47	37
2.594	34.57	39
2.525	35.55	78
2.497	35.97	100
1.945	46.70	37
1.746	52.42	39

Atomic structure:
```
Mn4Se3N2
1.0
6.112 0.000 0.000
0.000 10.379 0.000
0.000 0.000 8.934
Mn Se N
16 12 8
Cartesian
0.058 2.595 1.326
1.232 5.524 0.620
1.232 10.044 0.620
1.296 2.595 8.078
1.760 7.784 3.611
1.824 0.335 5.087
1.824 4.855 5.087
2.998 7.784 5.793
3.114 2.595 3.142
4.288 5.524 3.847
4.288 10.044 3.847
4.352 2.595 5.323
4.816 7.784 0.856
4.880 0.335 8.314
4.880 4.855 8.314
6.054 7.784 7.609
0.420 0.656 2.920
0.420 4.534 2.920
0.710 2.595 5.757
2.346 7.784 1.290
2.636 5.845 7.387
2.636 9.723 7.387
3.476 0.656 1.547
3.476 4.534 1.547
3.766 2.595 7.644
5.402 7.784 3.177
5.692 5.845 6.014
5.692 9.723 6.014
0.360 1.256 8.840
0.360 3.933 8.840
2.696 6.446 4.373
2.696 9.123 4.373
3.416 1.256 4.561
3.416 3.933 4.561
5.752 6.446 0.094
5.752 9.123 0.094
```

# 3
Mn4Se3N2: simulated powder XRD pattern (a wavelength of 1.5418 Å), based on a PBE-relaxed structure.
No peak broadening, texture or thermal motion is included.

Largest 8 diffraction maxima, low angle first, 2θ = 15–90°:
d (Å)	2θ/deg	I_rel
3.913	22.73	41
3.771	23.59	81
3.050	29.28	70
2.657	33.73	85
2.246	40.14	100
2.184	41.33	73
1.919	47.37	73
1.565	59.04	43

Atomic structure:
```
Mn4Se3N2
1.0
6.229 0.000 0.000
0.000 15.086 0.000
0.000 0.000 3.130
Mn Se N
8 6 4
Cartesian
0.093 2.474 0.000
1.227 14.805 1.565
1.888 7.262 0.000
3.021 10.017 1.565
3.208 5.069 1.565
4.342 7.823 0.000
5.002 0.280 1.565
6.136 12.612 0.000
0.000 7.543 1.565
0.824 4.294 1.565
2.290 11.837 0.000
3.115 0.000 0.000
3.939 3.249 0.000
5.405 10.792 1.565
0.343 1.366 1.565
2.772 8.909 0.000
3.458 6.176 0.000
5.886 13.719 1.565
```

# 4
Mn2SeN2: simulated powder XRD pattern (a wavelength of 1.5418 Å), based on a PBE-relaxed structure.
No peak broadening, texture or thermal motion is included.

Largest 8 diffraction maxima, low angle first, 2θ = 15–90°:
d (Å)	2θ/deg	I_rel
2.543	35.29	50
2.524	35.57	100
2.134	42.35	38
2.088	43.34	72
1.593	57.89	30
1.585	58.20	15
1.381	67.85	15
1.273	74.56	25

Atomic structure:
```
Mn2SeN2
1.0
2.764 -1.585 0.000
2.764 1.585 0.000
-0.042 0.000 6.402
Mn Se N
2 1 2
Cartesian
0.917 0.000 2.045
4.568 0.000 4.357
2.764 0.000 0.000
0.881 0.000 4.046
4.604 0.000 2.356
```